For CaNd4Rh, a DFT-relaxed cell (GGA-PBE, Alexandria) gives the theoretical X-ray powder pattern in this record (Cu Kα X-rays).

Structural model:
```
12
Lattice="-3.135 3.799 8.439 3.135 -3.799 8.439 3.135 3.799 -8.439" Properties=species:S:1:pos:R:3 pbc="T T T"
Ca 0.000 0.000 3.367
Ca 0.000 0.000 13.511
Nd 3.135 1.891 -1.866
Nd 0.000 1.645 0.000
Nd 3.135 0.000 5.550
Nd 3.135 1.891 1.866
Nd 0.000 1.908 6.573
Nd 0.000 3.799 2.889
Nd 0.000 5.952 0.000
Nd 0.000 1.908 10.305
Rh 1.725 3.799 0.000
Rh 1.410 0.000 8.439
```

Largest 10 diffraction maxima, low angle first, 2θ from 5° to 70°:
2θ = 10.48°, rel. 50
2θ = 12.78°, rel. 31
2θ = 28.00°, rel. 23
2θ = 28.47°, rel. 38
2θ = 30.07°, rel. 70
2θ = 31.81°, rel. 100
2θ = 38.46°, rel. 21
2θ = 38.74°, rel. 39
2θ = 51.43°, rel. 19
2θ = 58.02°, rel. 25

For Ca3Nd3Rh4, a DFT-relaxed cell (GGA-PBE, Alexandria) gives the theoretical X-ray powder pattern in this record (Cu Kα X-rays).

Structural model:
```
10
Lattice="3.758 0.000 0.000 0.000 5.670 5.760 0.000 -5.670 5.760" Properties=species:S:1:pos:R:3 pbc="T T T"
Ca 0.000 0.000 0.000
Ca 1.879 -2.884 6.899
Ca 1.879 2.884 6.899
Nd 0.000 -1.721 4.035
Nd 0.000 1.721 4.035
Nd 0.000 0.000 8.076
Rh 1.879 0.000 2.427
Rh 1.879 0.000 5.735
Rh 1.879 -1.677 9.706
Rh 1.879 1.677 9.706
```

Largest 10 diffraction maxima, low angle first, 2θ from 5° to 70°:
2θ = 10.95°, rel. 16
2θ = 15.38°, rel. 37
2θ = 34.31°, rel. 85
2θ = 34.55°, rel. 100
2θ = 34.94°, rel. 31
2θ = 35.29°, rel. 32
2θ = 44.86°, rel. 20
2θ = 48.45°, rel. 18
2θ = 66.81°, rel. 20
2θ = 67.52°, rel. 19

For CaNdRh, a DFT-relaxed cell (GGA-PBE, Alexandria) gives the theoretical X-ray powder pattern in this record (Cu Kα X-rays).

Structural model:
```
12
Lattice="6.958 0.000 0.000 0.000 6.958 0.000 0.000 0.000 6.958" Properties=species:S:1:pos:R:3 pbc="T T T"
Ca 0.000 0.000 0.000
Ca 0.000 3.479 3.479
Ca 3.479 0.000 3.479
Ca 3.479 3.479 0.000
Nd 0.000 0.000 3.479
Nd 0.000 3.479 0.000
Nd 3.479 0.000 0.000
Nd 3.479 3.479 3.479
Rh 1.740 1.740 5.219
Rh 1.740 5.219 1.740
Rh 5.219 1.740 1.740
Rh 5.219 5.219 5.219
```

Largest 9 diffraction maxima, low angle first, 2θ from 5° to 70°:
2θ = 22.13°, rel. 61
2θ = 25.60°, rel. 10
2θ = 36.53°, rel. 100
2θ = 43.12°, rel. 32
2θ = 45.14°, rel. 3
2θ = 52.61°, rel. 17
2θ = 57.76°, rel. 14
2θ = 59.40°, rel. 4
2θ = 65.75°, rel. 35

For CaNdTh2Rh4, a DFT-relaxed cell (GGA-PBE, Alexandria) gives the theoretical X-ray powder pattern in this record (Cu Kα X-rays).

Structural model:
```
8
Lattice="0.000 5.551 4.212 3.958 0.000 4.212 3.958 5.551 0.000" Properties=species:S:1:pos:R:3 pbc="T T T"
Ca 0.000 0.000 0.000
Nd 3.958 5.551 4.941
Th 1.979 2.775 3.054
Th 5.937 8.326 7.266
Rh 5.445 5.551 2.495
Rh 3.958 2.566 5.265
Rh 2.471 5.551 2.495
Rh 3.958 8.535 5.265
```

Largest 10 diffraction maxima, low angle first, 2θ from 5° to 70°:
2θ = 15.97°, rel. 17
2θ = 31.01°, rel. 100
2θ = 32.25°, rel. 58
2θ = 35.06°, rel. 37
2θ = 42.95°, rel. 14
2θ = 45.35°, rel. 67
2θ = 45.85°, rel. 15
2θ = 46.10°, rel. 19
2θ = 54.72°, rel. 16
2θ = 57.17°, rel. 14

For CaNdZnRh, a DFT-relaxed cell (GGA-PBE, Alexandria) gives the theoretical X-ray powder pattern in this record (Cu Kα X-rays).

Structural model:
```
8
Lattice="4.185 0.000 0.000 0.000 4.122 0.000 0.000 0.000 11.261" Properties=species:S:1:pos:R:3 pbc="T T T"
Ca 0.000 0.000 0.000
Ca 0.000 2.061 5.631
Nd 2.093 0.000 8.092
Nd 2.093 2.061 2.461
Zn 2.093 0.000 4.754
Zn 2.093 2.061 10.385
Rh 0.000 0.000 3.152
Rh 0.000 2.061 8.782
```

Largest 10 diffraction maxima, low angle first, 2θ from 5° to 70°:
2θ = 15.74°, rel. 55
2θ = 31.48°, rel. 100
2θ = 31.79°, rel. 20
2θ = 32.26°, rel. 32
2θ = 38.54°, rel. 30
2θ = 38.94°, rel. 76
2θ = 43.23°, rel. 24
2θ = 43.93°, rel. 22
2θ = 59.85°, rel. 16
2θ = 61.92°, rel. 15

For CaNd5S8, a DFT-relaxed cell (GGA-PBE, Alexandria) gives the theoretical X-ray powder pattern in this record (Cu Kα X-rays).

Structural model:
```
14
Lattice="-4.287 4.287 4.303 4.287 -4.287 4.303 4.287 4.287 -4.303" Properties=species:S:1:pos:R:3 pbc="T T T"
Ca 0.000 0.000 0.000
Nd 5.369 2.144 -1.108
Nd 4.287 0.000 2.151
Nd 2.144 3.204 1.108
Nd -1.082 2.142 3.195
Nd 2.142 1.082 5.411
S 2.760 0.615 -0.416
S 2.766 3.639 -1.665
S 3.672 -1.527 4.719
S 1.520 0.647 2.637
S 4.934 2.766 1.665
S 0.615 5.814 0.416
S -0.647 1.520 5.968
S 1.527 3.672 3.887
```

Largest 10 diffraction maxima, low angle first, 2θ from 5° to 70°:
2θ = 14.59°, rel. 14
2θ = 25.41°, rel. 100
2θ = 32.93°, rel. 30
2θ = 33.03°, rel. 73
2θ = 39.27°, rel. 66
2θ = 47.40°, rel. 29
2θ = 49.82°, rel. 26
2θ = 54.55°, rel. 20
2θ = 67.10°, rel. 13
2θ = 67.29°, rel. 25

For CaNd2S4, a DFT-relaxed cell (GGA-PBE, Alexandria) gives the theoretical X-ray powder pattern in this record (Cu Kα X-rays).

Structural model:
```
14
Lattice="-4.281 4.281 4.312 4.281 -4.281 4.312 4.281 4.281 -4.312" Properties=species:S:1:pos:R:3 pbc="T T T"
Ca 0.000 0.000 0.000
Ca 0.000 4.281 2.156
Nd 2.140 3.178 -1.078
Nd 5.383 2.140 1.078
Nd 2.140 1.102 3.234
Nd -1.102 2.140 5.390
S 4.911 2.749 -1.684
S 2.749 0.630 0.472
S 3.650 -1.531 3.840
S -0.630 1.531 2.628
S 2.749 3.650 1.684
S 0.630 5.812 -0.472
S 1.531 0.630 5.996
S 1.531 3.650 4.784
```

Largest 10 diffraction maxima, low angle first, 2θ from 5° to 70°:
2θ = 14.58°, rel. 25
2θ = 20.75°, rel. 14
2θ = 25.41°, rel. 100
2θ = 32.86°, rel. 28
2θ = 33.08°, rel. 81
2θ = 39.19°, rel. 41
2θ = 39.35°, rel. 41
2θ = 47.44°, rel. 30
2θ = 49.83°, rel. 27
2θ = 67.35°, rel. 17

For CaNd4S4, a DFT-relaxed cell (GGA-PBE, Alexandria) gives the theoretical X-ray powder pattern in this record (Cu Kα X-rays).

Structural model:
```
9
Lattice="6.729 -2.014 0.000 6.729 2.014 0.000 -4.939 0.000 8.570" Properties=species:S:1:pos:R:3 pbc="T T T"
Ca 0.000 0.000 0.000
Nd -1.245 0.000 6.814
Nd 2.386 0.000 5.150
Nd 6.133 0.000 3.419
Nd 9.764 0.000 1.756
S 1.186 0.000 2.550
S 4.913 0.000 0.823
S 3.606 0.000 7.747
S 7.334 0.000 6.020
```

Largest 10 diffraction maxima, low angle first, 2θ from 5° to 70°:
2θ = 26.94°, rel. 30
2θ = 27.10°, rel. 91
2θ = 31.28°, rel. 100
2θ = 31.49°, rel. 49
2θ = 44.65°, rel. 19
2θ = 44.94°, rel. 54
2θ = 45.04°, rel. 35
2θ = 53.28°, rel. 25
2θ = 53.46°, rel. 14
2θ = 55.96°, rel. 18

For CaNd4S6, a DFT-relaxed cell (GGA-PBE, Alexandria) gives the theoretical X-ray powder pattern in this record (Cu Kα X-rays).

Structural model:
```
22
Lattice="2.006 -6.721 0.000 2.006 6.721 0.000 0.000 0.000 20.588" Properties=species:S:1:pos:R:3 pbc="T T T"
Ca 2.006 4.622 15.441
Ca 2.006 -4.622 5.147
Nd 2.006 5.459 2.743
Nd 2.006 5.459 7.550
Nd 2.006 1.846 0.871
Nd 2.006 1.846 9.423
Nd 2.006 -1.846 11.164
Nd 2.006 -1.846 19.717
Nd 2.006 -5.459 13.037
Nd 2.006 -5.459 17.844
S 0.000 0.000 0.000
S 0.000 0.000 10.294
S 2.006 4.068 5.147
S 2.006 3.069 12.085
S 2.006 3.069 18.797
S 2.006 0.624 3.431
S 2.006 0.624 6.863
S 2.006 -0.624 13.725
S 2.006 -0.624 17.157
S 2.006 -3.069 1.791
S 2.006 -3.069 8.503
S 2.006 -4.068 15.441
```

Largest 10 diffraction maxima, low angle first, 2θ from 5° to 70°:
2θ = 8.59°, rel. 69
2θ = 25.37°, rel. 100
2θ = 26.55°, rel. 54
2θ = 30.22°, rel. 49
2θ = 31.16°, rel. 63
2θ = 32.68°, rel. 58
2θ = 33.25°, rel. 35
2θ = 42.26°, rel. 38
2θ = 44.21°, rel. 35
2θ = 46.15°, rel. 42

For CaNdTm4S8, a DFT-relaxed cell (GGA-PBE, Alexandria) gives the theoretical X-ray powder pattern in this record (Cu Kα X-rays).

Structural model:
```
14
Lattice="4.008 2.314 6.653 -4.008 2.314 6.653 0.000 -4.628 6.653" Properties=species:S:1:pos:R:3 pbc="T T T"
Ca 0.000 0.000 0.000
Nd 0.000 0.000 12.536
Tm -2.035 -1.175 9.161
Tm 0.000 0.000 5.028
Tm 2.035 -1.175 9.161
Tm 0.000 2.349 9.161
S 0.000 -2.227 10.711
S -1.928 1.113 10.711
S 0.000 0.000 7.673
S -1.871 -1.080 14.323
S 1.928 1.113 10.711
S 0.000 0.000 17.260
S 1.871 -1.080 14.323
S 0.000 2.160 14.323
```

Largest 10 diffraction maxima, low angle first, 2θ from 5° to 70°:
2θ = 13.51°, rel. 40
2θ = 25.74°, rel. 49
2θ = 25.95°, rel. 100
2θ = 26.06°, rel. 57
2θ = 27.20°, rel. 31
2θ = 31.40°, rel. 69
2θ = 41.17°, rel. 34
2θ = 41.31°, rel. 30
2θ = 44.73°, rel. 63
2θ = 45.25°, rel. 62

For CaNd3Y2S6, a DFT-relaxed cell (GGA-PBE, Alexandria) gives the theoretical X-ray powder pattern in this record (Cu Kα X-rays).

Structural model:
```
12
Lattice="3.453 -5.982 0.000 3.453 5.982 0.000 -2.289 0.000 6.617" Properties=species:S:1:pos:R:3 pbc="T T T"
Ca 0.000 0.000 0.000
Nd 2.308 4.010 3.309
Nd 2.308 0.000 3.309
Nd 2.308 -4.010 3.309
Y 3.453 1.996 0.000
Y 3.453 -1.996 0.000
S 1.158 2.003 1.573
S 0.017 0.000 5.067
S 1.158 -2.003 1.573
S 3.458 2.003 5.044
S 4.599 0.000 1.550
S 3.458 -2.003 5.044
```

Largest 10 diffraction maxima, low angle first, 2θ from 5° to 70°:
2θ = 13.38°, rel. 12
2θ = 26.19°, rel. 10
2θ = 26.95°, rel. 14
2θ = 27.35°, rel. 40
2θ = 31.56°, rel. 100
2θ = 44.99°, rel. 36
2θ = 45.50°, rel. 35
2θ = 53.23°, rel. 9
2θ = 53.68°, rel. 13
2θ = 56.43°, rel. 18

For CaNd2Sb3, a DFT-relaxed cell (GGA-PBE, Alexandria) gives the theoretical X-ray powder pattern in this record (Cu Kα X-rays).

Structural model:
```
12
Lattice="4.476 0.000 0.000 0.000 6.411 0.000 0.000 0.000 13.762" Properties=species:S:1:pos:R:3 pbc="T T T"
Ca 0.000 0.000 0.000
Ca 2.238 3.205 6.881
Nd 0.000 0.000 4.600
Nd 0.000 0.000 9.162
Nd 2.238 3.205 2.281
Nd 2.238 3.205 11.481
Sb 0.000 3.205 0.000
Sb 0.000 3.205 4.537
Sb 0.000 3.205 9.225
Sb 2.238 0.000 2.344
Sb 2.238 0.000 6.881
Sb 2.238 0.000 11.418
```

Largest 10 diffraction maxima, low angle first, 2θ from 5° to 70°:
2θ = 15.25°, rel. 6
2θ = 27.84°, rel. 100
2θ = 39.28°, rel. 13
2θ = 39.78°, rel. 51
2θ = 40.30°, rel. 12
2θ = 48.82°, rel. 14
2θ = 49.69°, rel. 13
2θ = 57.53°, rel. 13
2θ = 64.39°, rel. 6
2θ = 65.09°, rel. 23

For Ca5NdSe6, a DFT-relaxed cell (GGA-PBE, Alexandria) gives the theoretical X-ray powder pattern in this record (Cu Kα X-rays).

Structural model:
```
12
Lattice="3.648 -6.317 0.000 3.648 6.317 0.000 -2.433 0.000 6.883" Properties=species:S:1:pos:R:3 pbc="T T T"
Ca 0.000 0.000 0.000
Ca 2.431 4.210 3.441
Ca 3.648 2.106 0.000
Ca 3.648 -2.106 0.000
Ca 2.431 -4.210 3.441
Nd 2.431 0.000 3.441
Se 1.212 2.112 1.716
Se -0.009 0.000 5.168
Se 1.212 -2.112 1.716
Se 3.651 2.112 5.167
Se 4.871 0.000 1.714
Se 3.651 -2.112 5.167
```

Largest 10 diffraction maxima, low angle first, 2θ from 5° to 70°:
2θ = 12.86°, rel. 3
2θ = 14.02°, rel. 3
2θ = 14.66°, rel. 5
2θ = 16.45°, rel. 4
2θ = 19.07°, rel. 3
2θ = 25.90°, rel. 4
2θ = 30.00°, rel. 100
2θ = 42.94°, rel. 73
2θ = 53.26°, rel. 25
2θ = 62.34°, rel. 12

For CaNd4Se5, a DFT-relaxed cell (GGA-PBE, Alexandria) gives the theoretical X-ray powder pattern in this record (Cu Kα X-rays).

Structural model:
```
10
Lattice="-2.110 2.110 14.999 2.110 -2.110 14.999 2.110 2.110 -14.999" Properties=species:S:1:pos:R:3 pbc="T T T"
Ca 0.000 0.000 0.000
Nd 0.000 0.000 5.957
Nd 0.000 0.000 11.932
Nd 0.000 0.000 18.065
Nd 0.000 0.000 24.041
Se 0.000 0.000 2.933
Se 0.000 0.000 8.959
Se 0.000 0.000 14.999
Se 0.000 0.000 21.038
Se 0.000 0.000 27.064
```

Largest 10 diffraction maxima, low angle first, 2θ from 5° to 70°:
2θ = 5.89°, rel. 18
2θ = 11.80°, rel. 5
2θ = 25.82°, rel. 13
2θ = 29.78°, rel. 53
2θ = 29.95°, rel. 100
2θ = 42.75°, rel. 74
2θ = 42.87°, rel. 37
2θ = 53.07°, rel. 40
2θ = 61.86°, rel. 6
2θ = 62.24°, rel. 12